[1]
Diffraction record for LiCu4H8C2O10. The powder diffractogram is computed, not measured: it uses a DFT-relaxed cell (PBE, the Materials Project) and Cu Ka.
No peak broadening, texture or thermal motion is included.

Principal peaks in the range 2θ = 10–90°, in order of falling intensity:
2θ 12.98, I = 100
2θ 26.13, I = 20
2θ 34.11, I = 13
2θ 33.39, I = 12
2θ 30.67, I = 12
2θ 37.48, I = 11

Crystal structure
Lattice parameters (Å, degrees): 5.8395 6.2232 7.2793 90.28 110.45 90.92
Sites, in units of the cell vectors:
Li  0.0000  0.0000  0.0000
Cu  0.4030  0.4976  0.2417
Cu  0.4465  0.0122  0.2413
Cu  0.9068  0.7420  0.2562
Cu  0.9080  0.2579  0.2501
H  0.0039  0.7252  0.6315
H  0.2191  0.5040  0.5073
H  0.2484  0.0085  0.4809
H  0.2950  0.2705  0.9524
H  0.5617  0.7703  0.5162
H  0.5819  0.5110  0.9870
H  0.6113  0.0128  0.9597
H  0.8153  0.2907  0.7882
C  0.1481  0.6758  0.7706
C  0.6841  0.1942  0.6649
O  0.1373  0.7530  0.9287
O  0.1404  0.0007  0.3416
O  0.1466  0.4988  0.3598
O  0.2482  0.2396  0.0666
O  0.3056  0.5448  0.7546
O  0.5526  0.0519  0.7092
O  0.5764  0.7514  0.3871
O  0.6709  0.4979  0.1299
O  0.6823  0.2360  0.4948
O  0.7068  0.0025  0.1034

[2]
Diffraction record for CuH6C4N8. The powder diffractogram is computed, not measured: it uses a DFT-relaxed cell (PBE, the Materials Project) and Cu Ka.
No peak broadening, texture or thermal motion is included.

Principal peaks in the range 2θ = 10–90°, in order of falling intensity:
2θ 12.62, I = 100
2θ 16.69, I = 48
2θ 25.05, I = 44
2θ 18.42, I = 37
2θ 26.23, I = 34
2θ 15.96, I = 21

Crystal structure
Lattice parameters (Å, degrees): 7.6999 9.6316 7.4627 90.00 114.40 90.00
Sites, in units of the cell vectors:
Cu  0.0000  0.0000  0.0000
Cu  0.0000  0.5000  0.5000
H  0.2775  0.0801  0.9140
H  0.2775  0.4199  0.4140
H  0.2817  0.1841  0.0929
H  0.2817  0.3159  0.5929
H  0.3649  0.0222  0.1435
H  0.3649  0.4778  0.6435
H  0.6351  0.5222  0.3565
H  0.6351  0.9778  0.8565
H  0.7183  0.6841  0.4071
H  0.7183  0.8159  0.9071
H  0.7225  0.5801  0.5860
H  0.7225  0.9199  0.0860
C  0.1231  0.7096  0.9181
C  0.1231  0.7904  0.4181
C  0.2569  0.0051  0.5262
C  0.2569  0.4949  0.0262
C  0.7431  0.5051  0.9738
C  0.7431  0.9949  0.4738
C  0.8769  0.2096  0.5819
C  0.8769  0.2904  0.0819
N  0.0800  0.6733  0.4221
N  0.0800  0.8267  0.9221
N  0.1608  0.5835  0.8894
N  0.1608  0.9165  0.3894
N  0.2601  0.0832  0.0435
N  0.2601  0.4168  0.5435
N  0.3412  0.0934  0.6384
N  0.3412  0.4066  0.1384
N  0.6588  0.5934  0.8616
N  0.6588  0.9066  0.3616
N  0.7399  0.5832  0.4565
N  0.7399  0.9168  0.9565
N  0.8392  0.0835  0.6106
N  0.8392  0.4165  0.1106
N  0.9200  0.1733  0.0779
N  0.9200  0.3267  0.5779